This entry pairs a crystal structure of K2AcV2O7 with its calculated XRD peak list. Radiation: Cu Ka. Structure: a structure optimized by DFT (GGA+U).
Neutral-atom scattering factors, no anomalous dispersion.

Cell and atoms:
Cell: 8.499 8.499 8.499 Å, 41.27 41.27 41.27°
Element x y z (fractional)
K 0.214 0.214 0.214
K 0.786 0.786 0.786
Ac 0.000 0.000 0.000
V 0.422 0.422 0.422
V 0.578 0.578 0.578
O 0.151 0.345 0.707
O 0.293 0.655 0.849
O 0.345 0.707 0.151
O 0.500 0.500 0.500
O 0.655 0.849 0.293
O 0.707 0.151 0.345
O 0.849 0.293 0.655

Main lines, in order of rising 2θ (2θ from 10° to 80°):
2theta, I (rel.)
11.40, 406
18.72, 852
22.96, 464
25.70, 1000
29.83, 714
37.96, 365